Record 1
Structure and simulated X-ray powder pattern of Cs2CaAu2I6 (a crystal structure in Alexandria, relaxed with GGA-PBE; λ = 1.5418 Å (Cu Kα)).

Largest 10 diffraction maxima, sorted by position, 2θ from 10° to 90°:
two_theta	d (Å)	intensity
14.13	6.270	22
22.89	3.884	100
23.52	3.782	34
23.75	3.747	83
24.54	3.628	25
28.48	3.134	69
30.99	2.886	24
36.17	2.483	24
37.43	2.403	24
50.31	1.814	21

Structure:
```
Cs2CaAu2I6
1.0
7.7612 -4.4483 0.0000
7.7612 4.4483 0.0000
-5.6677 0.0000 7.7675
Cs Ca Au I
2 1 2 6
Direct
0.2397 0.2397 0.2799
0.7603 0.7603 0.7201
0.0000 0.0000 0.5000
0.4704 0.4704 0.2113
0.5296 0.5296 0.7887
0.1745 0.7533 0.1972
0.2400 0.2400 0.6769
0.2467 0.8255 0.8028
0.7533 0.1745 0.1972
0.7600 0.7600 0.3231
0.8255 0.2467 0.8028
```

***

Record 2
Structure and simulated X-ray powder pattern of Sr3HgPd3 (a crystal structure in Alexandria, relaxed with GGA-PBE; λ = 1.5418 Å (Cu Kα)).

Largest 10 diffraction maxima, sorted by position, 2θ from 10° to 90°:
two_theta	d (Å)	intensity
14.97	5.917	37
30.28	2.952	100
30.52	2.929	29
30.79	2.904	31
31.99	2.798	25
34.59	2.593	56
36.42	2.467	28
36.87	2.438	88
37.57	2.394	25
40.40	2.232	51

Structure:
```
Sr3HgPd3
1.0
5.9226 -2.2324 0.0000
5.9226 2.2324 0.0000
-5.2723 0.0000 14.3630
Sr Hg Pd
6 2 6
Direct
0.0229 0.0229 0.3817
0.1056 0.1056 0.9250
0.2361 0.2361 0.2256
0.7639 0.7639 0.7744
0.8944 0.8944 0.0750
0.9771 0.9771 0.6183
0.2650 0.2650 0.6027
0.7350 0.7350 0.3973
0.3797 0.3797 0.4559
0.3935 0.3935 0.9233
0.4728 0.4728 0.7714
0.5272 0.5272 0.2286
0.6065 0.6065 0.0767
0.6203 0.6203 0.5441
```

***

Record 3
Structure and simulated X-ray powder pattern of In2Hg5Pb (a crystal structure in Alexandria, relaxed with GGA-PBE; λ = 1.5418 Å (Cu Kα)).

Largest 10 diffraction maxima, sorted by position, 2θ from 10° to 90°:
two_theta	d (Å)	intensity
30.94	2.890	57
32.51	2.754	100
34.78	2.580	42
35.75	2.511	78
42.04	2.149	25
53.81	1.704	24
58.81	1.570	19
60.31	1.535	17
60.77	1.524	17
63.13	1.473	15

Structure:
```
In2Hg5Pb
1.0
5.2649 -3.5872 0.0000
5.2649 3.5872 0.0000
-4.0898 0.0000 5.7810
In Hg Pb
2 5 1
Direct
0.0000 0.0000 0.0000
0.5002 0.5002 0.4995
0.0007 0.4999 0.5002
0.4999 0.0007 0.5002
0.4996 0.4996 0.0006
0.4997 0.9986 0.9997
0.9986 0.4997 0.9997
0.9997 0.9997 0.4996
```

***

Record 4
Structure and simulated X-ray powder pattern of Sm2MgPtO6 (a crystal structure in Alexandria, relaxed with GGA-PBE; λ = 1.5418 Å (Cu Kα)).

Largest 10 diffraction maxima, sorted by position, 2θ from 10° to 90°:
two_theta	d (Å)	intensity
19.12	4.641	47
19.79	4.486	32
25.21	3.533	26
31.04	2.881	40
32.08	2.790	100
32.23	2.777	99
32.87	2.725	48
45.84	1.980	37
46.38	1.958	27
58.38	1.581	25

Structure:
```
Sm2MgPtO6
1.0
5.4496 0.0000 0.0000
0.0000 5.7617 0.0000
-5.3994 0.0000 7.8302
Sm Mg Pt O
4 2 2 12
Direct
0.2311 0.0675 0.2506
0.2311 0.4325 0.7506
0.7689 0.5675 0.2494
0.7689 0.9325 0.7494
0.5000 0.0000 0.0000
0.5000 0.5000 0.5000
0.0000 0.0000 0.5000
0.0000 0.5000 0.0000
0.1350 0.2011 0.9439
0.1350 0.2989 0.4439
0.2488 0.6978 0.9448
0.2488 0.8022 0.4448
0.3572 0.0381 0.7481
0.3572 0.4619 0.2481
0.6428 0.5381 0.7519
0.6428 0.9619 0.2519
0.7512 0.1978 0.5552
0.7512 0.3022 0.0552
0.8650 0.7011 0.5561
0.8650 0.7989 0.0561
```

***

Record 5
Structure and simulated X-ray powder pattern of Sm4Y4Mg (a crystal structure in Alexandria, relaxed with GGA-PBE; λ = 1.5418 Å (Cu Kα)).

Largest 10 diffraction maxima, sorted by position, 2θ from 10° to 90°:
two_theta	d (Å)	intensity
27.97	3.190	44
28.23	3.161	61
29.08	3.071	66
31.08	2.877	35
31.24	2.863	100
31.37	2.852	45
31.51	2.839	57
33.46	2.678	63
34.23	2.619	39
66.22	1.411	33

Structure:
```
Sm4Y4Mg
1.0
6.2202 -7.3245 0.0000
6.2202 7.3245 0.0000
0.0000 0.0000 6.4912
Sm Y Mg
8 8 2
Direct
0.0685 0.4640 0.7500
0.1388 0.1388 0.0000
0.1388 0.1388 0.5000
0.4640 0.0685 0.2500
0.5360 0.9315 0.7500
0.8612 0.8612 0.0000
0.8612 0.8612 0.5000
0.9315 0.5360 0.2500
0.2063 0.7937 0.0071
0.2063 0.7937 0.4929
0.2725 0.4577 0.2500
0.4577 0.2725 0.7500
0.5423 0.7275 0.2500
0.7275 0.5423 0.7500
0.7937 0.2063 0.5071
0.7937 0.2063 0.9929
0.4052 0.5948 0.7500
0.5948 0.4052 0.2500
```

***

Record 6
Structure and simulated X-ray powder pattern of Ce2Al3Mo (a crystal structure in Alexandria, relaxed with GGA-PBE; λ = 1.5418 Å (Cu Kα)).

Largest 10 diffraction maxima, sorted by position, 2θ from 10° to 90°:
two_theta	d (Å)	intensity
19.18	4.627	44
31.91	2.804	29
32.58	2.748	79
37.50	2.398	35
38.08	2.363	100
56.45	1.630	15
61.40	1.510	16
61.81	1.501	24
66.71	1.402	16
68.25	1.374	16

Structure:
```
Ce2Al3Mo
1.0
2.7485 1.5868 4.6270
-2.7485 1.5868 4.6270
0.0000 -3.1737 4.6270
Ce Al Mo
2 3 1
Direct
0.1311 0.1311 0.1311
0.8689 0.8689 0.8689
0.0000 0.5000 0.5000
0.5000 0.0000 0.5000
0.5000 0.5000 0.0000
0.5000 0.5000 0.5000
```

***

Record 7
Structure and simulated X-ray powder pattern of Nd4ZnRu2 (a crystal structure in Alexandria, relaxed with GGA-PBE; λ = 1.5418 Å (Cu Kα)).

Largest 10 diffraction maxima, sorted by position, 2θ from 10° to 90°:
two_theta	d (Å)	intensity
29.87	2.992	85
32.03	2.794	55
32.19	2.781	50
32.46	2.758	93
32.82	2.729	100
35.05	2.560	41
36.35	2.471	66
37.05	2.427	58
37.92	2.373	48
41.47	2.177	52

Structure:
```
Nd4ZnRu2
1.0
7.0646 0.0000 0.0000
-1.8870 7.1025 0.0000
-2.6746 -2.8034 7.2788
Nd Zn Ru
8 2 4
Direct
0.0000 0.0000 0.0000
0.0219 0.6262 0.6599
0.2787 0.5538 0.1239
0.4124 0.9276 0.5675
0.4984 0.4699 0.6948
0.5796 0.2362 0.2716
0.8362 0.7016 0.2256
0.9778 0.1194 0.6172
0.4982 0.8755 0.9506
0.7702 0.2925 0.9721
0.0696 0.4312 0.3391
0.1836 0.1291 0.3723
0.3595 0.1728 0.9043
0.6588 0.6957 0.4895
```

***

Record 8
Structure and simulated X-ray powder pattern of Nb4BN (a crystal structure in Alexandria, relaxed with GGA-PBE; λ = 1.5418 Å (Cu Kα)).

Largest 10 diffraction maxima, sorted by position, 2θ from 10° to 90°:
two_theta	d (Å)	intensity
35.45	2.532	36
36.25	2.478	98
36.51	2.461	100
36.90	2.436	59
39.12	2.303	47
39.39	2.287	33
39.58	2.277	22
40.24	2.241	34
40.72	2.216	24
63.36	1.468	34

Structure:
```
Nb4BN
1.0
5.5012 0.0000 0.0000
0.0000 5.5348 0.0000
-0.2671 0.0000 5.5658
Nb B N
8 2 2
Direct
0.1356 0.1494 0.1601
0.1356 0.3506 0.6601
0.3517 0.6412 0.1288
0.3517 0.8588 0.6288
0.6483 0.1412 0.3712
0.6483 0.3588 0.8712
0.8644 0.6494 0.3399
0.8644 0.8506 0.8399
0.5000 0.0000 0.0000
0.5000 0.5000 0.5000
0.0000 0.0000 0.5000
0.0000 0.5000 0.0000
```

***

Record 9
Structure and simulated X-ray powder pattern of AcErScTl (a crystal structure in Alexandria, relaxed with GGA-PBE; λ = 1.5418 Å (Cu Kα)).

Largest 10 diffraction maxima, sorted by position, 2θ from 10° to 90°:
two_theta	d (Å)	intensity
19.78	4.489	8
22.88	3.887	13
32.58	2.749	100
38.40	2.344	5
46.74	1.944	18
52.65	1.738	6
58.13	1.587	39
68.24	1.374	12
77.68	1.229	17
86.79	1.122	4

Structure:
```
AcErScTl
1.0
0.0000 3.8872 3.8872
3.8872 0.0000 3.8872
3.8872 3.8872 0.0000
Ac Er Sc Tl
1 1 1 1
Direct
0.0000 0.0000 0.0000
0.2500 0.2500 0.2500
0.7500 0.7500 0.7500
0.5000 0.5000 0.5000
```

***

Record 10
Structure and simulated X-ray powder pattern of Li2Pu2As3 (a crystal structure in Alexandria, relaxed with GGA-PBE; λ = 1.5418 Å (Cu Kα)).

Largest 10 diffraction maxima, sorted by position, 2θ from 10° to 90°:
two_theta	d (Å)	intensity
11.78	7.511	45
22.60	3.934	57
27.89	3.199	44
31.94	2.802	49
32.12	2.786	100
35.73	2.513	49
36.78	2.444	69
37.74	2.383	69
43.11	2.098	47
48.79	1.867	42

Structure:
```
Li2Pu2As3
1.0
7.5377 -2.0982 0.0000
7.5377 2.0982 0.0000
-6.7502 0.0000 9.4143
Li Pu As
4 4 6
Direct
0.0461 0.0461 0.3307
0.4193 0.4193 0.3492
0.5807 0.5807 0.6508
0.9539 0.9539 0.6693
0.2674 0.2674 0.6715
0.3939 0.3939 0.0505
0.6061 0.6061 0.9495
0.7326 0.7326 0.3285
0.0815 0.0815 0.1286
0.1622 0.1622 0.8231
0.3670 0.3670 0.5225
0.6330 0.6330 0.4775
0.8378 0.8378 0.1769
0.9185 0.9185 0.8714
```

***

Record 11
Structure and simulated X-ray powder pattern of Sr3LiHg8 (a crystal structure in Alexandria, relaxed with GGA-PBE; λ = 1.5418 Å (Cu Kα)).

Largest 10 diffraction maxima, sorted by position, 2θ from 10° to 90°:
two_theta	d (Å)	intensity
21.06	4.219	41
25.13	3.543	97
27.33	3.263	49
29.95	2.984	58
35.36	2.539	67
37.98	2.369	100
38.08	2.363	85
39.48	2.282	44
46.56	1.951	65
58.62	1.575	41

Structure:
```
Sr3LiHg8
1.0
-4.2194 4.2194 5.1464
4.2194 -4.2194 5.1464
4.2194 4.2194 -5.1464
Sr Li Hg
3 1 8
Direct
0.0000 0.0000 0.0000
0.2500 0.7500 0.5000
0.7500 0.2500 0.5000
0.5000 0.5000 0.0000
0.1605 0.4231 0.0000
0.2159 0.2159 0.5533
0.3374 0.7841 0.0000
0.4231 0.1605 0.0000
0.5769 0.5769 0.7374
0.6626 0.6626 0.4467
0.7841 0.3374 0.0000
0.8395 0.8395 0.2626
```

***

Record 12
Structure and simulated X-ray powder pattern of AcLa4Nd4 (a crystal structure in Alexandria, relaxed with GGA-PBE; λ = 1.5418 Å (Cu Kα)).

Largest 10 diffraction maxima, sorted by position, 2θ from 10° to 90°:
two_theta	d (Å)	intensity
29.19	3.059	34
29.23	3.055	100
33.87	2.647	68
48.64	1.872	41
57.72	1.597	29
57.81	1.595	29
60.62	1.528	13
78.75	1.215	12
78.85	1.214	10
81.31	1.183	9

Structure:
```
AcLa4Nd4
1.0
6.4811 0.0000 0.0000
1.0498 9.8475 0.0000
3.2342 2.4888 10.4582
Ac La Nd
2 8 8
Direct
0.0533 0.0830 0.1956
0.9467 0.9170 0.8044
0.1659 0.2531 0.5810
0.2769 0.4182 0.9707
0.3902 0.0872 0.8587
0.4983 0.2549 0.2495
0.5017 0.7451 0.7505
0.6098 0.9128 0.1413
0.7231 0.5818 0.0293
0.8341 0.7469 0.4190
0.0577 0.5801 0.6923
0.1715 0.7450 0.0857
0.2834 0.9157 0.4720
0.3890 0.5835 0.3626
0.6110 0.4165 0.6374
0.7166 0.0843 0.5280
0.8285 0.2550 0.9143
0.9423 0.4199 0.3077
```

***

- Number 10 is which compound?
  Li2Pu2As3